Calculated X-ray powder pattern
Compound: LiFePO4
Radiation: copper Kα
Structure: a PBE+U-relaxed structure
Peak positions follow from Bragg's law for the DFT cell and can differ from measured ones.

Most intense lines, 5 to 70 degrees two-theta, by angle:
- 21.66°, I 100
- 31.32°, I 12
- 34.99°, I 16
- 35.21°, I 17
- 36.05°, I 10
- 43.25°, I 8

Cell and atoms:
```
data_LiFePO4
_chemical_formula_sum 'Li4 Fe4 P4 O16'
_symmetry_space_group_name_H-M 'P n a 21'
_symmetry_Int_Tables_number 33
_symmetry_space_group_name_Hall 'P 2c -2n'
_cell_length_a 10.258
_cell_length_b 5.097
_cell_length_c 6.877
_cell_angle_alpha 90.00
_cell_angle_beta 90.00
_cell_angle_gamma 90.00
loop_
_atom_site_label
_atom_site_type_symbol
_atom_site_fract_x
_atom_site_fract_y
_atom_site_fract_z
Li1 Li 0.154 0.195 0.000
Fe1 Fe 0.152 0.196 0.500
P1 P 0.097 0.693 0.751
O1 O 0.051 0.240 0.249
O2 O 0.121 0.391 0.753
O3 O 0.160 0.815 0.936
O4 O 0.162 0.805 0.563
```



Calculated X-ray powder pattern
Compound: LiFePO4
Radiation: copper Kα
Structure: a PBE+U-relaxed structure
Peak positions follow from Bragg's law for the DFT cell and can differ from measured ones.

Most intense lines, 5 to 70 degrees two-theta, by angle:
- 19.90°, I 36
- 20.16°, I 43
- 21.65°, I 51
- 24.25°, I 100
- 26.90°, I 49
- 31.91°, I 39

Cell and atoms:
```
data_LiFePO4
_chemical_formula_sum 'Li4 Fe4 P4 O16'
_symmetry_space_group_name_H-M 'P 1 c 1'
_symmetry_Int_Tables_number 7
_symmetry_space_group_name_Hall 'P -2yc'
_cell_length_a 8.161
_cell_length_b 5.310
_cell_length_c 8.513
_cell_angle_alpha 90.00
_cell_angle_beta 104.90
_cell_angle_gamma 90.00
loop_
_atom_site_label
_atom_site_type_symbol
_atom_site_fract_x
_atom_site_fract_y
_atom_site_fract_z
Li1 Li 0.000 0.160 0.000
Li2 Li 0.504 0.325 0.329
Fe1 Fe 0.383 0.175 0.951
Fe2 Fe 0.904 0.346 0.638
P1 P 0.132 0.325 0.379
P2 P 0.619 0.176 0.704
O1 O 0.056 0.202 0.511
O2 O 0.168 0.389 0.918
O3 O 0.293 0.181 0.371
O4 O 0.491 0.319 0.778
O5 O 0.552 0.099 0.164
O6 O 0.642 0.306 0.547
O7 O 0.800 0.184 0.820
O8 O 0.998 0.312 0.211
```



Calculated X-ray powder pattern
Compound: LiFeP2O7
Radiation: copper Kα
Structure: a PBE+U-relaxed structure
Peak positions follow from Bragg's law for the DFT cell and can differ from measured ones.

Most intense lines, 5 to 70 degrees two-theta, by angle:
- 13.22°, I 100
- 21.72°, I 63
- 25.51°, I 40
- 26.90°, I 46
- 27.99°, I 35
- 28.57°, I 34

Cell and atoms:
```
data_LiFeP2O7
_chemical_formula_sum 'Li8 Fe8 P16 O56'
_symmetry_space_group_name_H-M 'C 1 2/c 1'
_symmetry_Int_Tables_number 15
_symmetry_space_group_name_Hall '-C 2yc'
_cell_length_a 8.192
_cell_length_b 13.398
_cell_length_c 10.648
_cell_angle_alpha 90.00
_cell_angle_beta 92.50
_cell_angle_gamma 90.00
loop_
_atom_site_label
_atom_site_type_symbol
_atom_site_fract_x
_atom_site_fract_y
_atom_site_fract_z
Li1 Li 0.002 0.217 0.000
Fe1 Fe 0.188 0.000 0.109
P1 P 0.193 0.396 0.134
P2 P 0.209 0.390 0.636
O1 O 0.067 0.317 0.120
O2 O 0.096 0.304 0.623
O3 O 0.103 0.494 0.621
O4 O 0.164 0.101 0.471
O5 O 0.182 0.103 0.973
O6 O 0.198 0.101 0.235
O7 O 0.213 0.099 0.736
```



Calculated X-ray powder pattern
Compound: LiFeP2O7
Radiation: copper Kα
Structure: a PBE+U-relaxed structure
Peak positions follow from Bragg's law for the DFT cell and can differ from measured ones.

Most intense lines, 5 to 70 degrees two-theta, by angle:
- 15.94°, I 100
- 16.71°, I 20
- 23.59°, I 68
- 29.58°, I 31
- 30.73°, I 32
- 39.06°, I 21

Cell and atoms:
```
data_LiFeP2O7
_chemical_formula_sum 'Li4 Fe4 P8 O28'
_symmetry_space_group_name_H-M 'P 1 21/c 1'
_symmetry_Int_Tables_number 14
_symmetry_space_group_name_Hall '-P 2ybc'
_cell_length_a 7.120
_cell_length_b 10.169
_cell_length_c 8.085
_cell_angle_alpha 90.00
_cell_angle_beta 111.12
_cell_angle_gamma 90.00
loop_
_atom_site_label
_atom_site_type_symbol
_atom_site_fract_x
_atom_site_fract_y
_atom_site_fract_z
Li1 Li 0.103 0.157 0.052
Fe1 Fe 0.236 0.606 0.255
P1 P 0.139 0.590 0.813
P2 P 0.469 0.647 0.704
O1 O 0.026 0.031 0.210
O2 O 0.062 0.717 0.703
O3 O 0.132 0.601 0.997
O4 O 0.324 0.624 0.514
O5 O 0.327 0.081 0.757
O6 O 0.370 0.571 0.831
O7 O 0.491 0.708 0.262
```



Calculated X-ray powder pattern
Compound: Li2Fe5P4O16
Radiation: copper Kα
Structure: a PBE+U-relaxed structure
Peak positions follow from Bragg's law for the DFT cell and can differ from measured ones.

Most intense lines, 5 to 70 degrees two-theta, by angle:
- 18.57°, I 100
- 19.51°, I 93
- 27.34°, I 49
- 27.53°, I 51
- 29.94°, I 48
- 37.68°, I 51

Cell and atoms:
```
data_Li2Fe5P4O16
_chemical_formula_sum 'Li2 Fe5 P4 O16'
_symmetry_space_group_name_H-M 'P -1'
_symmetry_Int_Tables_number 2
_symmetry_space_group_name_Hall '-P 1'
_cell_length_a 5.330
_cell_length_b 8.125
_cell_length_c 8.312
_cell_angle_alpha 111.19
_cell_angle_beta 91.33
_cell_angle_gamma 101.45
loop_
_atom_site_label
_atom_site_type_symbol
_atom_site_fract_x
_atom_site_fract_y
_atom_site_fract_z
Li1 Li 0.155 0.072 0.269
Fe1 Fe 0.136 0.409 0.664
Fe2 Fe 0.405 0.747 0.216
Fe3 Fe 0.500 0.000 0.000
P1 P 0.128 0.298 0.019
P2 P 0.367 0.788 0.573
O1 O 0.143 0.485 0.163
O2 O 0.155 0.807 0.055
O3 O 0.191 0.812 0.432
O4 O 0.220 0.634 0.619
O5 O 0.260 0.180 0.088
O6 O 0.268 0.327 0.863
O7 O 0.372 0.241 0.499
O8 O 0.423 0.968 0.737
```